[1]
Structure and simulated PXRD pattern of ScCdBi (a crystal structure in Alexandria, relaxed with PBE; a wavelength of 1.5418 Å).

Structural model:
```
6
Lattice="-1.8265 2.6624 8.2736 1.8265 -2.6624 8.2736 1.8265 2.6624 -8.2736" Properties=species:S:1:pos:R:3 pbc="T T T"
Sc 0.0000 0.0000 2.9303
Sc 0.0000 0.0000 13.6170
Cd 0.0000 1.3103 0.0000
Cd 0.0000 4.0145 0.0000
Bi 0.0000 0.0000 5.8926
Bi 0.0000 0.0000 10.6547
```

Most intense lines, 10 to 90 degrees two-theta, by angle:
23.22 deg, rel. 55
29.32 deg, rel. 100
29.66 deg, rel. 94
36.91 deg, rel. 61
40.28 deg, rel. 62
42.36 deg, rel. 56



[2]
Structure and simulated PXRD pattern of Sm6Cd5Bi (a crystal structure in Alexandria, relaxed with PBE; a wavelength of 1.5418 Å).

Structural model:
```
12
Lattice="-2.7251 3.7809 8.1942 2.7251 -3.7809 8.1942 2.7251 3.7809 -8.1942" Properties=species:S:1:pos:R:3 pbc="T T T"
Sm 2.7251 1.8857 -2.7451
Sm 0.0000 1.8775 0.0000
Sm 2.7251 1.8857 2.7451
Sm 0.0000 1.8952 5.4491
Sm 0.0000 5.6844 0.0000
Sm 0.0000 1.8952 10.9393
Cd 2.7251 0.0000 0.0000
Cd 0.0000 0.0000 2.7312
Cd 2.7251 0.0000 5.3291
Cd 0.0000 3.7809 2.8651
Cd 0.0000 0.0000 13.6571
Bi 0.0000 0.0000 8.1942
```

Most intense lines, 10 to 90 degrees two-theta, by angle:
32.83 deg, rel. 51
33.17 deg, rel. 100
47.11 deg, rel. 18
58.83 deg, rel. 38
59.49 deg, rel. 18
69.63 deg, rel. 11



[3]
Structure and simulated PXRD pattern of Tl4CdSn2Bi2 (a crystal structure in Alexandria, relaxed with PBE; a wavelength of 1.5418 Å).

Structural model:
```
9
Lattice="6.6248 0.0000 0.0000 1.7111 6.5042 0.0000 1.2288 1.4417 6.6205" Properties=species:S:1:pos:R:3 pbc="T T T"
Tl 1.9838 2.6469 1.1241
Tl 3.4960 5.6551 0.6914
Tl 6.0688 2.2907 5.9292
Tl 7.5810 5.2989 5.4964
Cd 0.6144 0.7208 3.3103
Sn 4.4571 5.4542 4.3842
Sn 5.1076 2.4916 2.2363
Bi 3.0262 2.6549 4.5403
Bi 6.5386 5.2910 2.0802
```

Most intense lines, 10 to 90 degrees two-theta, by angle:
28.07 deg, rel. 79
28.48 deg, rel. 100
28.83 deg, rel. 66
31.98 deg, rel. 71
34.72 deg, rel. 50
38.37 deg, rel. 44



[4]
Structure and simulated PXRD pattern of Sr6Cd5Bi (a crystal structure in Alexandria, relaxed with PBE; a wavelength of 1.5418 Å).

Structural model:
```
12
Lattice="4.9753 -8.6958 0.0000 4.9753 8.6958 0.0000 -3.3405 0.0000 4.7032" Properties=species:S:1:pos:R:3 pbc="T T T"
Sr -0.0166 2.8936 3.5285
Sr 1.6512 0.0000 1.1755
Sr -0.0166 -2.8936 3.5285
Sr 6.6268 2.8936 1.1748
Sr 4.9590 0.0000 3.5277
Sr 6.6268 -2.8936 1.1748
Cd -1.6703 0.0000 2.3516
Cd 4.9753 5.8057 0.0000
Cd 3.3051 3.0196 2.3516
Cd 3.3051 -3.0196 2.3516
Cd 4.9753 -5.8057 0.0000
Bi 4.9753 0.0000 0.0000
```

Most intense lines, 10 to 90 degrees two-theta, by angle:
30.85 deg, rel. 20
31.04 deg, rel. 100
44.30 deg, rel. 15
54.99 deg, rel. 15
55.18 deg, rel. 15
55.31 deg, rel. 11



[5]
Structure and simulated PXRD pattern of Sr2CdBi4 (a crystal structure in Alexandria, relaxed with PBE; a wavelength of 1.5418 Å).

Structural model:
```
7
Lattice="0.0000 4.9120 5.0534 4.8673 0.0000 5.0534 4.8673 4.9120 0.0000" Properties=species:S:1:pos:R:3 pbc="T T T"
Sr 2.4336 2.4560 0.0000
Sr 2.4336 2.4560 5.0534
Cd 0.0000 0.0000 0.0000
Bi 2.4336 0.0000 2.5267
Bi 4.8673 2.4560 2.5267
Bi 0.0000 2.4560 2.5267
Bi 2.4336 4.9120 2.5267
```

Most intense lines, 10 to 90 degrees two-theta, by angle:
17.55 deg, rel. 22
25.77 deg, rel. 18
31.35 deg, rel. 100
35.53 deg, rel. 18
36.59 deg, rel. 17
36.94 deg, rel. 16



[6]
Structure and simulated PXRD pattern of Tb6CdBi3 (a crystal structure in Alexandria, relaxed with PBE; a wavelength of 1.5418 Å).

Structural model:
```
20
Lattice="6.0362 -5.8297 0.0000 6.0362 5.8297 0.0000 0.0000 0.0000 8.4911" Properties=species:S:1:pos:R:3 pbc="T T T"
Tb 3.0536 2.8844 6.3683
Tb 6.0362 3.9270 4.2637
Tb 6.0362 3.9270 8.4729
Tb 4.0863 0.0000 0.0000
Tb 4.0863 0.0000 4.2456
Tb 3.0536 -2.8844 2.1228
Tb 9.0188 2.8844 6.3683
Tb 7.9861 0.0000 0.0000
Tb 7.9861 0.0000 4.2456
Tb 6.0362 -3.9270 0.0182
Tb 6.0362 -3.9270 4.2274
Tb 9.0188 -2.8844 2.1228
Cd 6.0362 1.6617 6.3683
Cd 6.0362 -1.6617 2.1228
Bi 1.7260 0.0110 2.1228
Bi 1.7260 -0.0110 6.3683
Bi 6.0362 1.5742 2.1228
Bi 6.0362 -1.5742 6.3683
Bi 10.3464 0.0110 2.1228
Bi 10.3464 -0.0110 6.3683
```

Most intense lines, 10 to 90 degrees two-theta, by angle:
31.58 deg, rel. 100
32.09 deg, rel. 88
33.43 deg, rel. 45
34.16 deg, rel. 39
42.59 deg, rel. 28
55.20 deg, rel. 22



[7]
Structure and simulated PXRD pattern of Tb5CdBi2 (a crystal structure in Alexandria, relaxed with PBE; a wavelength of 1.5418 Å).

Structural model:
```
16
Lattice="2.8331 -5.8659 0.0000 2.8331 5.8659 0.0000 0.0000 0.0000 14.9703" Properties=species:S:1:pos:R:3 pbc="T T T"
Tb 2.8331 5.0409 8.9557
Tb 2.8331 5.0409 13.4998
Tb 2.8331 1.4196 8.2508
Tb 2.8331 1.4196 14.2047
Tb 2.8331 0.8962 3.7426
Tb 2.8331 -0.8962 11.2277
Tb 2.8331 -1.4196 0.7656
Tb 2.8331 -1.4196 6.7195
Tb 2.8331 -5.0409 1.4705
Tb 2.8331 -5.0409 6.0146
Cd 2.8331 2.5523 11.2277
Cd 2.8331 -2.5523 3.7426
Bi 2.8331 3.4305 1.7633
Bi 2.8331 3.4305 5.7218
Bi 2.8331 -3.4305 9.2485
Bi 2.8331 -3.4305 13.2070
```

Most intense lines, 10 to 90 degrees two-theta, by angle:
29.60 deg, rel. 44
31.07 deg, rel. 26
31.58 deg, rel. 52
33.12 deg, rel. 100
34.74 deg, rel. 21
57.23 deg, rel. 24



[8]
Structure and simulated PXRD pattern of TbCdBi2 (a crystal structure in Alexandria, relaxed with PBE; a wavelength of 1.5418 Å).

Structural model:
```
8
Lattice="4.5605 0.0000 0.0000 0.0000 4.5605 0.0000 0.0000 0.0000 10.9060" Properties=species:S:1:pos:R:3 pbc="T T T"
Tb 1.1401 1.1401 2.5108
Tb 3.4204 3.4204 8.3952
Cd 1.1401 3.4204 5.4530
Cd 3.4204 1.1401 5.4530
Bi 1.1401 1.1401 7.8068
Bi 1.1401 3.4204 0.0000
Bi 3.4204 1.1401 0.0000
Bi 3.4204 3.4204 3.0992
```

Most intense lines, 10 to 90 degrees two-theta, by angle:
32.25 deg, rel. 100
32.85 deg, rel. 19
39.52 deg, rel. 31
52.30 deg, rel. 21
57.13 deg, rel. 11
67.14 deg, rel. 25



[9]
Structure and simulated PXRD pattern of Tl2CdBiTe4 (a crystal structure in Alexandria, relaxed with PBE; a wavelength of 1.5418 Å).

Structural model:
```
8
Lattice="-4.3095 4.3095 3.6691 4.3095 -4.3095 3.6691 4.3095 4.3095 -3.6691" Properties=species:S:1:pos:R:3 pbc="T T T"
Tl 4.3095 0.0000 0.0000
Tl 0.0000 4.3095 0.0000
Cd 0.0000 0.0000 0.0000
Bi 0.0000 0.0000 3.6691
Te 1.6368 -1.6368 1.7686
Te -1.6368 1.6368 1.7686
Te 2.6727 2.6727 1.9005
Te 1.6368 1.6368 5.5696
```

Most intense lines, 10 to 90 degrees two-theta, by angle:
20.61 deg, rel. 16
26.11 deg, rel. 32
29.31 deg, rel. 52
32.04 deg, rel. 100
53.72 deg, rel. 22
58.75 deg, rel. 15



[10]
Structure and simulated PXRD pattern of Tl3CdBi2Te6 (a crystal structure in Alexandria, relaxed with PBE; a wavelength of 1.5418 Å).

Structural model:
```
12
Lattice="3.9123 -6.7859 0.0000 3.9123 6.7859 0.0000 -2.6131 0.0000 7.7458" Properties=species:S:1:pos:R:3 pbc="T T T"
Tl 0.0000 0.0000 0.0000
Tl 3.9123 2.3483 0.0000
Tl 3.9123 -2.3483 0.0000
Cd 2.6057 0.0000 3.8729
Bi 2.6057 4.5490 3.8729
Bi 2.6057 -4.5490 3.8729
Te 1.3399 2.1987 2.1380
Te 0.0706 0.0000 5.6250
Te 1.3399 -2.1987 2.1380
Te 3.8715 2.1987 5.6078
Te 5.1408 0.0000 2.1208
Te 3.8715 -2.1987 5.6078
```

Most intense lines, 10 to 90 degrees two-theta, by angle:
27.47 deg, rel. 100
38.60 deg, rel. 39
39.88 deg, rel. 37
49.09 deg, rel. 14
56.71 deg, rel. 12
63.23 deg, rel. 17



[11]
Structure and simulated PXRD pattern of ThCdBi (a crystal structure in Alexandria, relaxed with PBE; a wavelength of 1.5418 Å).

Structural model:
```
9
Lattice="8.5386 0.0000 0.0000 -4.2693 7.3947 0.0000 0.0000 0.0000 4.1960" Properties=species:S:1:pos:R:3 pbc="T T T"
Th -2.6343 4.5627 0.0000
Th 1.6351 2.8320 0.0000
Th 5.2685 0.0000 0.0000
Cd -1.1485 1.9893 2.0980
Cd 2.2970 0.0000 2.0980
Cd 3.1208 5.4054 2.0980
Bi 0.0000 0.0000 0.0000
Bi 0.0000 4.9298 2.0980
Bi 4.2693 2.4649 2.0980
```

Most intense lines, 10 to 90 degrees two-theta, by angle:
29.86 deg, rel. 100
32.27 deg, rel. 69
36.45 deg, rel. 68
38.71 deg, rel. 33
57.70 deg, rel. 37
58.70 deg, rel. 34



[12]
Structure and simulated PXRD pattern of Tl3CdBi3 (a crystal structure in Alexandria, relaxed with PBE; a wavelength of 1.5418 Å).

Structural model:
```
14
Lattice="6.0226 -2.5285 0.0000 6.0226 2.5285 0.0000 -1.8869 0.0000 15.0076" Properties=species:S:1:pos:R:3 pbc="T T T"
Tl -0.0632 0.0000 3.7511
Tl 1.8455 0.0000 0.4831
Tl 3.6842 0.0000 5.0662
Tl 6.4741 0.0000 9.9414
Tl 8.3128 0.0000 14.5244
Tl 10.2215 0.0000 11.2565
Cd 2.8732 0.0000 9.3656
Cd 7.2851 0.0000 5.6420
Bi 0.5587 0.0000 7.2521
Bi 1.7184 0.0000 12.1729
Bi 5.5452 0.0000 1.5385
Bi 4.6131 0.0000 13.4691
Bi 8.4400 0.0000 2.8347
Bi 9.5997 0.0000 7.7554
```

Most intense lines, 10 to 90 degrees two-theta, by angle:
29.73 deg, rel. 48
29.84 deg, rel. 100
32.05 deg, rel. 33
35.09 deg, rel. 17
35.50 deg, rel. 40
60.27 deg, rel. 20



[13]
Structure and simulated PXRD pattern of Tl2CdBi (a crystal structure in Alexandria, relaxed with PBE; a wavelength of 1.5418 Å).

Structural model:
```
8
Lattice="-3.3435 5.3072 3.3522 3.3435 -5.3072 3.3522 3.3435 5.3072 -3.3522" Properties=species:S:1:pos:R:3 pbc="T T T"
Tl 1.6717 5.4019 -1.6761
Tl 1.6717 0.0947 1.6761
Tl -1.6717 5.2125 1.6761
Tl 1.6717 5.2125 1.6761
Cd 3.3435 2.6536 -0.0340
Cd 0.0000 2.6536 3.3861
Bi 3.3435 -2.6536 3.2681
Bi 0.0000 7.9608 0.0841
```

Most intense lines, 10 to 90 degrees two-theta, by angle:
31.60 deg, rel. 100
33.78 deg, rel. 21
38.01 deg, rel. 31
51.75 deg, rel. 25
59.06 deg, rel. 16
64.74 deg, rel. 13